[1]
The following is a theoretical PXRD pattern of Ac3TmPb3. It was derived from a structure optimized by DFT (PBE), using λ = 1.5418 Å (Cu Kα).
Intensities are scaled so that the largest is 100.

Crystal structure
a b c (Å): 8.265 8.265 8.749
angles (deg): 92.54 92.54 112.36
Fractional coordinates of all 14 atoms:
Ac  0.163  0.837  0.000
Ac  0.236  0.764  0.500
Ac  0.394  0.394  0.163
Ac  0.606  0.606  0.837
Ac  0.764  0.236  0.500
Ac  0.837  0.163  0.000
Tm  0.241  0.241  0.596
Tm  0.759  0.759  0.404
Pb  0.068  0.068  0.291
Pb  0.135  0.482  0.794
Pb  0.482  0.135  0.794
Pb  0.518  0.865  0.206
Pb  0.865  0.518  0.206
Pb  0.932  0.932  0.709

Top 12 peaks for 10 to 90 degrees two-theta, in order of rising 2θ:
two_theta, d/Å, I_rel
24.34, 3.658, 91
26.12, 3.412, 35
27.93, 3.195, 25
30.09, 2.970, 100
30.47, 2.934, 82
30.91, 2.893, 51
33.72, 2.658, 30
39.36, 2.289, 30
45.07, 2.012, 31
46.17, 1.966, 24
49.58, 1.839, 26
55.82, 1.647, 27

[2]
The following is a theoretical PXRD pattern of AcTm12Pb7. It was derived from a structure optimized by DFT (PBE), using λ = 1.5418 Å (Cu Kα).
Intensities are scaled so that the largest is 100.

Crystal structure
a b c (Å): 9.385 9.385 9.385
angles (deg): 110.42 110.42 110.42
Fractional coordinates of all 20 atoms:
Ac  0.000  0.000  0.000
Tm  0.000  0.278  0.722
Tm  0.000  0.722  0.278
Tm  0.166  0.497  0.497
Tm  0.278  0.000  0.722
Tm  0.278  0.722  0.000
Tm  0.497  0.166  0.497
Tm  0.497  0.497  0.166
Tm  0.503  0.503  0.834
Tm  0.503  0.834  0.503
Tm  0.722  0.000  0.278
Tm  0.722  0.278  0.000
Tm  0.834  0.503  0.503
Pb  0.135  0.135  0.452
Pb  0.135  0.452  0.135
Pb  0.452  0.135  0.135
Pb  0.500  0.500  0.500
Pb  0.548  0.865  0.865
Pb  0.865  0.548  0.865
Pb  0.865  0.865  0.548

Top 12 peaks for 10 to 90 degrees two-theta, in order of rising 2θ:
two_theta, d/Å, I_rel
23.96, 3.714, 25
28.55, 3.126, 50
31.38, 2.851, 100
33.51, 2.674, 19
34.92, 2.569, 99
36.29, 2.476, 79
51.25, 1.783, 27
52.15, 1.754, 32
62.67, 1.482, 21
63.52, 1.465, 29
64.28, 1.449, 17
85.11, 1.140, 17

[3]
The following is a theoretical PXRD pattern of Ac3TmPb. It was derived from a structure optimized by DFT (PBE), using λ = 1.5418 Å (Cu Kα).
Intensities are scaled so that the largest is 100.

Crystal structure
a b c (Å): 7.077 6.043 9.292
angles (deg): 90.00 102.84 90.00
Fractional coordinates of all 10 atoms:
Ac  0.169  0.250  0.018
Ac  0.252  0.750  0.746
Ac  0.317  0.250  0.457
Ac  0.683  0.750  0.543
Ac  0.748  0.250  0.254
Ac  0.831  0.750  0.982
Tm  0.400  0.750  0.164
Tm  0.600  0.250  0.836
Pb  0.068  0.750  0.347
Pb  0.932  0.250  0.653

Top 12 peaks for 10 to 90 degrees two-theta, in order of rising 2θ:
two_theta, d/Å, I_rel
25.65, 3.473, 7
29.55, 3.023, 100
29.81, 2.997, 55
42.28, 2.138, 18
42.65, 2.120, 9
52.43, 1.745, 13
52.61, 1.740, 12
52.75, 1.735, 19
53.81, 1.704, 6
61.33, 1.512, 9
61.92, 1.498, 7
69.54, 1.352, 7

[4]
The following is a theoretical PXRD pattern of AcTm4Pb4. It was derived from a structure optimized by DFT (PBE), using λ = 1.5418 Å (Cu Kα).
Intensities are scaled so that the largest is 100.

Crystal structure
a b c (Å): 10.009 10.009 5.720
angles (deg): 90.00 90.00 90.00
Fractional coordinates of all 18 atoms:
Ac  0.250  0.250  0.250
Ac  0.750  0.750  0.750
Tm  0.114  0.841  0.648
Tm  0.159  0.614  0.148
Tm  0.341  0.886  0.148
Tm  0.386  0.659  0.648
Tm  0.614  0.341  0.352
Tm  0.659  0.114  0.852
Tm  0.841  0.386  0.852
Tm  0.886  0.159  0.352
Pb  0.019  0.128  0.839
Pb  0.128  0.481  0.661
Pb  0.372  0.019  0.661
Pb  0.481  0.372  0.839
Pb  0.519  0.628  0.161
Pb  0.628  0.981  0.339
Pb  0.872  0.519  0.339
Pb  0.981  0.872  0.161

Top 12 peaks for 10 to 90 degrees two-theta, in order of rising 2θ:
two_theta, d/Å, I_rel
25.26, 3.526, 50
28.20, 3.165, 91
29.69, 3.009, 27
31.03, 2.882, 64
32.56, 2.750, 48
35.96, 2.498, 100
37.31, 2.410, 37
40.30, 2.238, 17
46.25, 1.963, 20
56.08, 1.640, 20
58.34, 1.582, 29
61.50, 1.508, 23

[5]
The following is a theoretical PXRD pattern of Ac3Y2Pb3. It was derived from a structure optimized by DFT (PBE), using λ = 1.5418 Å (Cu Kα).
Intensities are scaled so that the largest is 100.

Crystal structure
a b c (Å): 9.693 9.693 6.940
angles (deg): 90.00 90.00 120.00
Fractional coordinates of all 16 atoms:
Ac  0.000  0.245  0.250
Ac  0.000  0.755  0.750
Ac  0.245  0.000  0.250
Ac  0.245  0.245  0.750
Ac  0.755  0.000  0.750
Ac  0.755  0.755  0.250
Y  0.333  0.667  0.000
Y  0.333  0.667  0.500
Y  0.667  0.333  0.000
Y  0.667  0.333  0.500
Pb  0.000  0.401  0.750
Pb  0.000  0.599  0.250
Pb  0.401  0.000  0.750
Pb  0.401  0.401  0.250
Pb  0.599  0.000  0.250
Pb  0.599  0.599  0.750

Top 12 peaks for 10 to 90 degrees two-theta, in order of rising 2θ:
two_theta, d/Å, I_rel
18.31, 4.847, 14
25.67, 3.470, 30
28.12, 3.173, 16
30.99, 2.886, 100
31.72, 2.821, 39
31.98, 2.798, 21
40.88, 2.207, 16
48.72, 1.869, 29
49.09, 1.856, 10
50.85, 1.796, 10
61.34, 1.511, 14
63.07, 1.474, 10

[6]
The following is a theoretical PXRD pattern of Ac4Zn2Pb5. It was derived from a structure optimized by DFT (PBE), using λ = 1.5418 Å (Cu Kα).
Intensities are scaled so that the largest is 100.

Crystal structure
a b c (Å): 8.034 4.799 9.405
angles (deg): 90.00 90.19 90.00
Fractional coordinates of all 11 atoms:
Ac  0.219  0.000  0.137
Ac  0.255  0.000  0.618
Ac  0.745  0.000  0.382
Ac  0.781  0.000  0.863
Zn  0.079  0.500  0.388
Zn  0.921  0.500  0.612
Pb  0.118  0.500  0.866
Pb  0.426  0.500  0.346
Pb  0.500  0.500  0.000
Pb  0.574  0.500  0.654
Pb  0.882  0.500  0.134

Top 12 peaks for 10 to 90 degrees two-theta, in order of rising 2θ:
two_theta, d/Å, I_rel
28.81, 3.099, 100
28.99, 3.080, 52
30.55, 2.926, 30
36.00, 2.495, 13
37.48, 2.399, 28
38.28, 2.351, 14
38.64, 2.330, 19
38.75, 2.324, 14
49.15, 1.854, 17
54.96, 1.671, 24
62.46, 1.487, 11
63.53, 1.464, 10

[7]
The following is a theoretical PXRD pattern of AcZn4Pb. It was derived from a structure optimized by DFT (PBE), using λ = 1.5418 Å (Cu Kα).
Intensities are scaled so that the largest is 100.

Crystal structure
a b c (Å): 5.769 5.769 5.769
angles (deg): 60.00 60.00 60.00
Fractional coordinates of all 6 atoms:
Ac  0.000  0.000  0.000
Zn  0.129  0.624  0.624
Zn  0.624  0.129  0.624
Zn  0.624  0.624  0.129
Zn  0.624  0.624  0.624
Pb  0.250  0.250  0.250

Top 12 peaks for 10 to 90 degrees two-theta, in order of rising 2θ:
two_theta, d/Å, I_rel
18.84, 4.710, 20
31.00, 2.885, 70
36.53, 2.460, 100
38.21, 2.355, 12
48.64, 1.872, 6
55.15, 1.665, 29
58.81, 1.570, 34
64.62, 1.442, 24
67.97, 1.379, 5
73.40, 1.290, 13
76.58, 1.244, 12
90.00, 1.090, 16

[8]
The following is a theoretical PXRD pattern of Ac6ZnPb2. It was derived from a structure optimized by DFT (PBE), using λ = 1.5418 Å (Cu Kα).
Intensities are scaled so that the largest is 100.

Crystal structure
a b c (Å): 9.628 9.628 9.628
angles (deg): 146.18 130.88 60.97
Fractional coordinates of all 9 atoms:
Ac  0.081  0.339  0.742
Ac  0.227  0.000  0.227
Ac  0.404  0.661  0.742
Ac  0.596  0.339  0.258
Ac  0.773  0.000  0.773
Ac  0.919  0.661  0.258
Zn  0.000  0.500  0.500
Pb  0.337  0.837  0.500
Pb  0.663  0.163  0.500

Top 12 peaks for 10 to 90 degrees two-theta, in order of rising 2θ:
two_theta, d/Å, I_rel
19.34, 4.589, 9
19.51, 4.550, 11
22.20, 4.004, 13
22.59, 3.936, 21
31.91, 2.805, 100
32.37, 2.766, 19
46.13, 1.968, 15
56.53, 1.628, 8
56.79, 1.621, 7
56.92, 1.618, 16
57.44, 1.604, 15
66.66, 1.403, 9

[9]
The following is a theoretical PXRD pattern of Ac2ZnPb. It was derived from a structure optimized by DFT (PBE), using λ = 1.5418 Å (Cu Kα).
Intensities are scaled so that the largest is 100.

Crystal structure
a b c (Å): 6.672 4.584 9.520
angles (deg): 90.00 109.53 90.00
Fractional coordinates of all 8 atoms:
Ac  0.188  0.250  0.412
Ac  0.274  0.750  0.054
Ac  0.726  0.250  0.946
Ac  0.812  0.750  0.588
Zn  0.160  0.250  0.784
Zn  0.840  0.750  0.216
Pb  0.375  0.750  0.705
Pb  0.625  0.250  0.295

Top 12 peaks for 10 to 90 degrees two-theta, in order of rising 2θ:
two_theta, d/Å, I_rel
24.10, 3.692, 17
27.82, 3.207, 100
28.41, 3.141, 35
28.71, 3.109, 30
34.62, 2.591, 63
34.87, 2.573, 21
37.37, 2.407, 25
39.31, 2.292, 25
49.22, 1.851, 16
49.40, 1.845, 14
55.10, 1.667, 16
55.36, 1.660, 16

[10]
The following is a theoretical PXRD pattern of Ac5Zn2Pb. It was derived from a structure optimized by DFT (PBE), using λ = 1.5418 Å (Cu Kα).
Intensities are scaled so that the largest is 100.

Crystal structure
a b c (Å): 9.489 9.489 9.489
angles (deg): 123.59 123.59 83.89
Fractional coordinates of all 16 atoms:
Ac  0.000  0.000  0.000
Ac  0.012  0.512  0.811
Ac  0.201  0.012  0.500
Ac  0.299  0.799  0.811
Ac  0.488  0.299  0.500
Ac  0.500  0.500  0.000
Ac  0.512  0.701  0.500
Ac  0.701  0.201  0.189
Ac  0.799  0.988  0.500
Ac  0.988  0.488  0.189
Zn  0.139  0.361  0.500
Zn  0.361  0.861  0.223
Zn  0.639  0.139  0.777
Zn  0.861  0.639  0.500
Pb  0.250  0.250  0.000
Pb  0.750  0.750  0.000

Top 12 peaks for 10 to 90 degrees two-theta, in order of rising 2θ:
two_theta, d/Å, I_rel
23.05, 3.859, 33
28.14, 3.171, 16
28.95, 3.084, 37
29.25, 3.053, 100
31.54, 2.837, 77
32.28, 2.773, 36
45.21, 2.006, 14
48.07, 1.893, 19
50.33, 1.813, 33
50.67, 1.802, 14
58.81, 1.570, 21
61.93, 1.498, 15

[11]
The following is a theoretical PXRD pattern of Ac3ZrPb5. It was derived from a structure optimized by DFT (PBE), using λ = 1.5418 Å (Cu Kα).
Intensities are scaled so that the largest is 100.

Crystal structure
a b c (Å): 10.029 10.029 6.730
angles (deg): 90.00 90.00 120.00
Fractional coordinates of all 18 atoms:
Ac  0.000  0.386  0.250
Ac  0.000  0.614  0.750
Ac  0.386  0.000  0.250
Ac  0.386  0.386  0.750
Ac  0.614  0.000  0.750
Ac  0.614  0.614  0.250
Zr  0.000  0.000  0.000
Zr  0.000  0.000  0.500
Pb  0.000  0.260  0.750
Pb  0.000  0.740  0.250
Pb  0.260  0.000  0.750
Pb  0.260  0.260  0.250
Pb  0.333  0.667  0.000
Pb  0.333  0.667  0.500
Pb  0.667  0.333  0.000
Pb  0.667  0.333  0.500
Pb  0.740  0.000  0.250
Pb  0.740  0.740  0.750

Top 12 peaks for 10 to 90 degrees two-theta, in order of rising 2θ:
two_theta, d/Å, I_rel
26.49, 3.365, 15
27.17, 3.283, 13
30.29, 2.950, 88
30.89, 2.895, 80
32.03, 2.794, 100
39.74, 2.268, 20
45.09, 2.010, 28
47.60, 1.911, 15
49.19, 1.852, 24
55.66, 1.651, 12
56.02, 1.642, 14
64.00, 1.455, 21

[12]
The following is a theoretical PXRD pattern of AcPd12. It was derived from a structure optimized by DFT (PBE), using λ = 1.5418 Å (Cu Kα).
Intensities are scaled so that the largest is 100.

Crystal structure
a b c (Å): 7.031 7.031 7.031
angles (deg): 98.18 98.18 135.68
Fractional coordinates of all 13 atoms:
Ac  0.000  0.000  0.000
Pd  0.000  0.000  0.500
Pd  0.000  0.353  0.353
Pd  0.000  0.500  0.000
Pd  0.000  0.647  0.647
Pd  0.277  0.500  0.777
Pd  0.353  0.000  0.353
Pd  0.500  0.000  0.000
Pd  0.500  0.277  0.777
Pd  0.500  0.500  0.500
Pd  0.500  0.723  0.223
Pd  0.647  0.000  0.647
Pd  0.723  0.500  0.223

Top 12 peaks for 10 to 90 degrees two-theta, in order of rising 2θ:
two_theta, d/Å, I_rel
27.42, 3.253, 10
30.70, 2.912, 4
33.75, 2.655, 27
39.16, 2.300, 100
44.01, 2.057, 32
56.56, 1.627, 9
63.95, 1.456, 4
64.05, 1.454, 10
70.93, 1.329, 20
71.09, 1.326, 4
84.12, 1.151, 10
84.26, 1.149, 7